Structure and calculated powder XRD pattern of Tb15Tm2Mg2 (DFT lattice parameters and positions (GGA-PBE); Cu Kα (λ = 1.5418 Å)).
Neutral-atom scattering factors, no anomalous dispersion.

Crystal structure
```
Tb15Tm2Mg2
1.0
5.561 3.210 5.716
-5.561 3.210 5.716
0.000 -6.421 5.716
Tb Tm Mg
15 2 2
Direct
0.000 0.000 0.500
0.000 0.298 0.702
0.000 0.500 0.000
0.000 0.702 0.298
0.151 0.636 0.636
0.298 0.000 0.702
0.298 0.702 0.000
0.364 0.364 0.849
0.364 0.849 0.364
0.500 0.000 0.000
0.636 0.151 0.636
0.636 0.636 0.151
0.702 0.000 0.298
0.702 0.298 0.000
0.849 0.364 0.364
0.323 0.323 0.323
0.677 0.677 0.677
0.093 0.093 0.093
0.907 0.907 0.907
```

Largest 6 diffraction maxima, by angle, 2θ from 10° to 90°:
2θ = 15.94°, 5.561 Å, rel. 23
2θ = 27.83°, 3.206 Å, rel. 23
2θ = 31.30°, 2.858 Å, rel. 27
2θ = 31.99°, 2.798 Å, rel. 100
2θ = 32.20°, 2.780 Å, rel. 30
2θ = 35.92°, 2.500 Å, rel. 44

=====

Structure and calculated powder XRD pattern of TbTm8Mg6 (DFT lattice parameters and positions (GGA-PBE); Cu Kα (λ = 1.5418 Å)).
Neutral-atom scattering factors, no anomalous dispersion.

Crystal structure
```
TbTm8Mg6
1.0
4.512 2.605 6.376
-4.512 2.605 6.376
0.000 -5.210 6.376
Tb Tm Mg
1 8 6
Direct
0.000 0.000 0.000
0.117 0.782 0.451
0.218 0.549 0.883
0.339 0.339 0.339
0.451 0.117 0.782
0.549 0.883 0.218
0.661 0.661 0.661
0.782 0.451 0.117
0.883 0.218 0.549
0.046 0.385 0.715
0.285 0.954 0.615
0.385 0.715 0.046
0.615 0.285 0.954
0.715 0.046 0.385
0.954 0.615 0.285
```

Largest 6 diffraction maxima, by angle, 2θ from 10° to 90°:
2θ = 24.17°, 3.683 Å, rel. 82
2θ = 34.44°, 2.604 Å, rel. 100
2θ = 42.51°, 2.126 Å, rel. 24
2θ = 49.50°, 1.841 Å, rel. 18
2θ = 55.82°, 1.647 Å, rel. 33
2θ = 61.69°, 1.504 Å, rel. 36

=====

Structure and calculated powder XRD pattern of Tb7Tm3Mg (DFT lattice parameters and positions (GGA-PBE); Cu Kα (λ = 1.5418 Å)).
Neutral-atom scattering factors, no anomalous dispersion.

Crystal structure
```
Tb7Tm3Mg
1.0
9.117 -3.402 0.000
9.117 3.402 0.000
0.000 0.000 11.045
Tb Tm Mg
14 6 2
Direct
0.098 0.582 0.533
0.098 0.582 0.967
0.198 0.627 0.250
0.228 0.772 0.750
0.373 0.802 0.250
0.418 0.902 0.533
0.418 0.902 0.967
0.582 0.098 0.033
0.582 0.098 0.467
0.627 0.198 0.750
0.772 0.228 0.250
0.802 0.373 0.750
0.902 0.418 0.033
0.902 0.418 0.467
0.000 0.000 0.000
0.000 0.000 0.500
0.232 0.248 0.750
0.248 0.232 0.250
0.752 0.768 0.750
0.768 0.752 0.250
0.500 0.500 0.000
0.500 0.500 0.500
```

Largest 6 diffraction maxima, by angle, 2θ from 10° to 90°:
2θ = 25.36°, 3.512 Å, rel. 18
2θ = 28.93°, 3.086 Å, rel. 19
2θ = 31.30°, 2.858 Å, rel. 20
2θ = 32.43°, 2.761 Å, rel. 100
2θ = 32.85°, 2.727 Å, rel. 26
2θ = 33.66°, 2.662 Å, rel. 42